# 1
Computed powder diffraction line list
Compound: Zr3O
Radiation: CuKα
Structure: the PBE geometry in Alexandria

Most intense lines, 2θ from 10° to 90°, in order of rising 2θ:
2θ (°)  I_rel
31.52  18.5
34.33  22.5
36.01  100.0
47.29  18.5
56.12  19.5
62.58  19.1
67.47  18.1
68.51  14.2
76.37  4.1
88.97  7.2

Crystal structure
a b c (Å): 6.1677 6.1677 6.1677
angles (deg): 54.80 54.80 54.80
Fractional coordinates of all 8 atoms:
Zr: 0.0904 0.7500 0.4096
Zr: 0.2500 0.5904 0.9096
Zr: 0.4096 0.0904 0.7500
Zr: 0.5904 0.9096 0.2500
Zr: 0.7500 0.4096 0.0904
Zr: 0.9096 0.2500 0.5904
O: 0.0000 0.0000 0.0000
O: 0.5000 0.5000 0.5000

# 2
Computed powder diffraction line list
Compound: BaTlSb
Radiation: CuKα
Structure: the PBE geometry in Alexandria

Most intense lines, 2θ from 10° to 90°, in order of rising 2θ:
2θ (°)  I_rel
14.73  29.6
25.55  14.2
25.68  32.0
28.23  100.0
30.14  24.7
33.60  67.8
33.80  57.3
34.98  41.5
43.87  21.8
62.01  13.3

Crystal structure
a b c (Å): 6.8021 6.8021 7.2671
angles (deg): 105.96 105.96 44.30
Fractional coordinates of all 6 atoms:
Ba: 0.0000 0.0000 0.0000
Ba: 0.6446 0.6446 0.5862
Tl: 0.3000 0.3000 0.4561
Tl: 0.7231 0.7231 0.1276
Sb: 0.2926 0.2926 0.9147
Sb: 0.9422 0.9422 0.4716

# 3
Computed powder diffraction line list
Compound: ZrMo2P8
Radiation: CuKα
Structure: the PBE geometry in Alexandria

Most intense lines, 2θ from 10° to 90°, in order of rising 2θ:
2θ (°)  I_rel
14.05  40.3
17.21  52.7
19.85  55.4
20.79  100.0
23.04  73.5
26.54  75.5
28.06  83.4
37.96  46.1
39.19  46.9
42.32  71.6

Crystal structure
a b c (Å): 4.6696 6.4453 7.3197
angles (deg): 78.19 73.46 84.48
Fractional coordinates of all 11 atoms:
Zr: 0.0000 0.0000 0.0000
Mo: 0.2200 0.3802 0.3743
Mo: 0.7800 0.6198 0.6257
P: 0.0998 0.5920 0.0823
P: 0.1221 0.7997 0.3372
P: 0.2898 0.4944 0.6614
P: 0.4169 0.0626 0.2345
P: 0.5831 0.9374 0.7655
P: 0.7102 0.5056 0.3386
P: 0.8779 0.2003 0.6628
P: 0.9002 0.4080 0.9177

# 4
Computed powder diffraction line list
Compound: Tb3Sm2Dy9
Radiation: CuKα
Structure: the PBE geometry in Alexandria

Most intense lines, 2θ from 10° to 90°, in order of rising 2θ:
2θ (°)  I_rel
30.22  46.0
31.38  47.6
31.61  80.4
31.85  74.8
32.31  46.1
32.40  100.0
32.57  20.6
33.29  26.8
43.18  16.8
53.52  16.4

Crystal structure
a b c (Å): 6.4380 8.3913 8.8803
angles (deg): 87.37 82.90 71.02
Fractional coordinates of all 14 atoms:
Tb: 0.0000 0.0000 0.0000
Tb: 0.1624 0.3000 0.3668
Tb: 0.3261 0.5053 0.6596
Sm: 0.5457 0.9484 0.2119
Sm: 0.6835 0.5949 0.4095
Dy: 0.0302 0.5467 0.0324
Dy: 0.1386 0.7411 0.3263
Dy: 0.2874 0.9446 0.6153
Dy: 0.4516 0.1521 0.8720
Dy: 0.4795 0.7038 0.9466
Dy: 0.6023 0.3524 0.1462
Dy: 0.7221 0.1402 0.4835
Dy: 0.8452 0.7883 0.7012
Dy: 0.8757 0.3519 0.7476

# 5
Computed powder diffraction line list
Compound: Ca2ScPdAu6
Radiation: CuKα
Structure: the PBE geometry in Alexandria

Most intense lines, 2θ from 10° to 90°, in order of rising 2θ:
2θ (°)  I_rel
17.28  48.3
30.16  100.0
34.97  83.0
39.25  25.8
50.28  59.4
53.57  13.3
59.76  44.5
62.71  20.4
81.80  18.9
84.40  27.6

Crystal structure
a b c (Å): 7.2583 7.2583 7.2583
angles (deg): 60.00 60.00 60.00
Fractional coordinates of all 10 atoms:
Ca: 0.2500 0.2500 0.2500
Ca: 0.7500 0.7500 0.7500
Sc: 0.0000 0.0000 0.0000
Pd: 0.5000 0.5000 0.5000
Au: 0.2499 0.2499 0.7501
Au: 0.2499 0.7501 0.2499
Au: 0.2499 0.7501 0.7501
Au: 0.7501 0.2499 0.2499
Au: 0.7501 0.2499 0.7501
Au: 0.7501 0.7501 0.2499

# 6
Computed powder diffraction line list
Compound: Tb3Ho3Pd2
Radiation: CuKα
Structure: the PBE geometry in Alexandria

Most intense lines, 2θ from 10° to 90°, in order of rising 2θ:
2θ (°)  I_rel
28.38  24.3
28.55  23.9
31.40  81.5
31.50  91.6
31.79  32.3
34.48  56.4
34.93  100.0
47.44  32.4
57.16  31.3
59.95  27.1

Crystal structure
a b c (Å): 6.6698 6.6698 17.9267
angles (deg): 90.00 90.00 146.60
Fractional coordinates of all 16 atoms:
Tb: 0.0508 0.9492 0.6044
Tb: 0.0508 0.9492 0.8956
Tb: 0.3513 0.6487 0.7500
Tb: 0.6487 0.3513 0.2500
Tb: 0.9492 0.0508 0.1044
Tb: 0.9492 0.0508 0.3956
Ho: 0.3461 0.6539 0.5425
Ho: 0.3461 0.6539 0.9575
Ho: 0.3828 0.6172 0.2500
Ho: 0.6172 0.3828 0.7500
Ho: 0.6539 0.3461 0.0425
Ho: 0.6539 0.3461 0.4575
Pd: 0.2509 0.7491 0.1287
Pd: 0.2509 0.7491 0.3713
Pd: 0.7491 0.2509 0.6287
Pd: 0.7491 0.2509 0.8713

# 7
Computed powder diffraction line list
Compound: Tl3Ga11
Radiation: CuKα
Structure: the PBE geometry in Alexandria

Most intense lines, 2θ from 10° to 90°, in order of rising 2θ:
2θ (°)  I_rel
20.57  23.8
27.18  18.4
32.86  37.5
33.26  70.0
33.95  100.0
34.93  22.1
36.61  26.5
37.02  47.2
50.33  22.7
65.84  28.8

Crystal structure
a b c (Å): 8.5287 8.5287 8.5287
angles (deg): 146.91 112.85 76.93
Fractional coordinates of all 14 atoms:
Tl: 0.0000 0.0000 0.0000
Tl: 0.2828 0.2828 0.0000
Tl: 0.7172 0.7172 0.0000
Ga: 0.0097 0.6514 0.3583
Ga: 0.1476 0.8564 0.2911
Ga: 0.2931 0.6514 0.6417
Ga: 0.3390 0.5000 0.8390
Ga: 0.4347 0.1436 0.2911
Ga: 0.5000 0.0000 0.5000
Ga: 0.5653 0.8564 0.7089
Ga: 0.6610 0.5000 0.1610
Ga: 0.7069 0.3486 0.3583
Ga: 0.8524 0.1436 0.7089
Ga: 0.9903 0.3486 0.6417

# 8
Computed powder diffraction line list
Compound: AcSc2Ru
Radiation: CuKα
Structure: the PBE geometry in Alexandria

Most intense lines, 2θ from 10° to 90°, in order of rising 2θ:
2θ (°)  I_rel
20.37  46.8
26.44  35.8
28.39  28.3
33.60  100.0
37.74  44.9
43.26  27.6
49.81  31.0
54.44  15.3
65.51  28.7
76.86  28.1

Crystal structure
a b c (Å): 3.3709 3.3709 8.7205
angles (deg): 90.00 90.00 90.00
Fractional coordinates of all 4 atoms:
Ac: 0.0000 0.0000 0.0000
Sc: 0.5000 0.5000 0.3295
Sc: 0.5000 0.5000 0.6705
Ru: 0.0000 0.0000 0.5000

# 9
Computed powder diffraction line list
Compound: Cd4Pb
Radiation: CuKα
Structure: the PBE geometry in Alexandria

Most intense lines, 2θ from 10° to 90°, in order of rising 2θ:
2θ (°)  I_rel
24.82  20.8
30.53  76.1
33.04  63.2
35.39  16.6
37.62  100.0
45.60  17.2
50.92  16.9
55.87  42.9
65.01  21.8
76.25  15.5

Crystal structure
a b c (Å): 8.7856 8.7856 8.7856
angles (deg): 109.47 109.47 109.47
Fractional coordinates of all 20 atoms:
Cd: 0.0000 0.0000 0.7800
Cd: 0.0000 0.3490 0.3490
Cd: 0.0000 0.6510 0.6510
Cd: 0.0000 0.7800 0.0000
Cd: 0.2200 0.2200 0.2200
Cd: 0.2500 0.5000 0.7500
Cd: 0.2500 0.7500 0.5000
Cd: 0.3490 0.0000 0.3490
Cd: 0.3490 0.3490 0.0000
Cd: 0.5000 0.2500 0.7500
Cd: 0.5000 0.7500 0.2500
Cd: 0.6510 0.0000 0.6510
Cd: 0.6510 0.6510 0.0000
Cd: 0.7500 0.2500 0.5000
Cd: 0.7500 0.5000 0.2500
Cd: 0.7800 0.0000 0.0000
Pb: 0.0000 0.0000 0.4216
Pb: 0.0000 0.4216 0.0000
Pb: 0.4216 0.0000 0.0000
Pb: 0.5784 0.5784 0.5784

# 10
Computed powder diffraction line list
Compound: CaThPtAu
Radiation: CuKα
Structure: the PBE geometry in Alexandria

Most intense lines, 2θ from 10° to 90°, in order of rising 2θ:
2θ (°)  I_rel
15.25  36.5
23.87  20.7
30.77  39.8
31.60  99.3
37.20  25.7
38.61  100.0
41.48  28.1
46.12  20.8
52.53  18.1
63.75  16.0

Crystal structure
a b c (Å): 4.3537 6.1354 6.1354
angles (deg): 37.42 90.00 90.00
Fractional coordinates of all 4 atoms:
Ca: 0.0000 0.0000 0.0000
Th: 0.5000 0.7226 0.7226
Pt: 0.0000 0.2589 0.2589
Au: 0.5000 0.4436 0.4436

# 11
Computed powder diffraction line list
Compound: Li15Tl2Rh2
Radiation: CuKα
Structure: the PBE geometry in Alexandria

Most intense lines, 2θ from 10° to 90°, in order of rising 2θ:
2θ (°)  I_rel
17.14  20.7
20.51  100.0
27.84  24.8
33.54  29.0
35.93  27.1
39.64  22.8
41.72  19.7
45.04  26.5
54.56  14.5
56.21  14.2

Crystal structure
a b c (Å): 6.9068 6.9068 6.9068
angles (deg): 77.64 77.64 77.64
Fractional coordinates of all 19 atoms:
Li: 0.0000 0.0000 0.5000
Li: 0.0000 0.2733 0.7267
Li: 0.0000 0.5000 0.0000
Li: 0.0000 0.7267 0.2733
Li: 0.1461 0.6102 0.6102
Li: 0.2733 0.0000 0.7267
Li: 0.2733 0.7267 0.0000
Li: 0.3898 0.3898 0.8539
Li: 0.3898 0.8539 0.3898
Li: 0.5000 0.0000 0.0000
Li: 0.6102 0.1461 0.6102
Li: 0.6102 0.6102 0.1461
Li: 0.7267 0.0000 0.2733
Li: 0.7267 0.2733 0.0000
Li: 0.8539 0.3898 0.3898
Tl: 0.3078 0.3078 0.3078
Tl: 0.6922 0.6922 0.6922
Rh: 0.0969 0.0969 0.0969
Rh: 0.9031 0.9031 0.9031

# 12
Computed powder diffraction line list
Compound: Re6Ir7
Radiation: CuKα
Structure: the PBE geometry in Alexandria

Most intense lines, 2θ from 10° to 90°, in order of rising 2θ:
2θ (°)  I_rel
35.33  44.9
39.63  38.5
40.77  26.7
40.95  100.0
41.16  48.0
42.71  48.8
44.57  49.1
47.78  30.3
68.50  24.9
74.71  41.5

Crystal structure
a b c (Å): 9.3271 9.3271 9.3271
angles (deg): 31.62 31.62 31.62
Fractional coordinates of all 13 atoms:
Re: 0.0463 0.0463 0.0463
Re: 0.1516 0.1516 0.1516
Re: 0.3349 0.3349 0.3349
Re: 0.6651 0.6651 0.6651
Re: 0.8484 0.8484 0.8484
Re: 0.9537 0.9537 0.9537
Ir: 0.0833 0.5867 0.5867
Ir: 0.4133 0.4133 0.9167
Ir: 0.4133 0.9167 0.4133
Ir: 0.5000 0.5000 0.5000
Ir: 0.5867 0.0833 0.5867
Ir: 0.5867 0.5867 0.0833
Ir: 0.9167 0.4133 0.4133